Calculated PXRD pattern
Compound: MgFe3Co5O16
Radiation: a wavelength of 1.5418 Å
Structure: a crystal structure in Alexandria, relaxed with GGA+U

Top 6 peaks for 2θ from 5° to 70°, by angle:
| two_theta | intensity |
| --- | --- |
| 20.2 | 100 |
| 20.5 | 61 |
| 27.3 | 39 |
| 37.0 | 38 |
| 37.6 | 82 |
| 64.7 | 54 |

Structure:
```
MgFe3Co5O16
1.0
5.019 -2.847 0.000
5.019 2.847 0.000
-0.184 0.000 8.791
Mg Fe Co O
1 3 5 16
direct
0.000 0.000 0.000
0.000 0.501 0.178
0.501 0.000 0.178
0.825 0.825 0.662
0.002 0.002 0.405
0.325 0.325 0.892
0.331 0.829 0.673
0.500 0.500 0.179
0.829 0.331 0.673
0.001 0.483 0.779
0.143 0.143 0.547
0.159 0.715 0.529
0.189 0.619 0.047
0.190 0.190 0.044
0.327 0.834 0.274
0.337 0.337 0.285
0.483 0.001 0.779
0.496 0.496 0.774
0.619 0.189 0.047
0.654 0.654 0.561
0.662 0.662 0.070
0.715 0.159 0.529
0.830 0.830 0.286
0.834 0.327 0.274
0.998 0.998 0.780
```

Calculated PXRD pattern
Compound: MgFe3Co5O16
Radiation: a wavelength of 1.5418 Å
Structure: a crystal structure in Alexandria, relaxed with GGA+U

Top 6 peaks for 2θ from 5° to 70°, by angle:
| two_theta | intensity |
| --- | --- |
| 19.9 | 100 |
| 20.5 | 62 |
| 21.1 | 47 |
| 37.5 | 39 |
| 38.0 | 37 |
| 66.2 | 52 |

Structure:
```
MgFe3Co5O16
1.0
5.650 0.000 0.000
2.737 4.945 0.000
0.213 0.243 8.911
Mg Fe Co O
1 3 5 16
direct
0.000 0.000 0.000
0.495 0.994 0.272
0.645 0.173 0.756
0.996 0.995 0.294
0.160 0.654 0.753
0.167 0.169 0.547
0.493 0.494 0.041
0.655 0.663 0.760
0.989 0.498 0.270
0.152 0.675 0.159
0.153 0.160 0.164
0.303 0.316 0.393
0.309 0.873 0.411
0.335 0.345 0.880
0.341 0.781 0.888
0.492 0.000 0.649
0.493 0.506 0.650
0.667 0.658 0.169
0.677 0.150 0.155
0.782 0.348 0.890
0.825 0.817 0.383
0.828 0.830 0.866
0.872 0.312 0.408
0.993 0.507 0.651
0.997 0.002 0.656
```

Repeat the first record exactly.
Calculated PXRD pattern
Compound: MgFe3Co5O16
Radiation: a wavelength of 1.5418 Å
Structure: a crystal structure in Alexandria, relaxed with GGA+U

Top 6 peaks for 2θ from 5° to 70°, by angle:
| two_theta | intensity |
| --- | --- |
| 20.2 | 100 |
| 20.5 | 61 |
| 27.3 | 39 |
| 37.0 | 38 |
| 37.6 | 82 |
| 64.7 | 54 |

Structure:
```
MgFe3Co5O16
1.0
5.019 -2.847 0.000
5.019 2.847 0.000
-0.184 0.000 8.791
Mg Fe Co O
1 3 5 16
direct
0.000 0.000 0.000
0.000 0.501 0.178
0.501 0.000 0.178
0.825 0.825 0.662
0.002 0.002 0.405
0.325 0.325 0.892
0.331 0.829 0.673
0.500 0.500 0.179
0.829 0.331 0.673
0.001 0.483 0.779
0.143 0.143 0.547
0.159 0.715 0.529
0.189 0.619 0.047
0.190 0.190 0.044
0.327 0.834 0.274
0.337 0.337 0.285
0.483 0.001 0.779
0.496 0.496 0.774
0.619 0.189 0.047
0.654 0.654 0.561
0.662 0.662 0.070
0.715 0.159 0.529
0.830 0.830 0.286
0.834 0.327 0.274
0.998 0.998 0.780
```

Which formula does entry 1 have?
MgFe3Co5O16

Number 1 is which compound?
MgFe3Co5O16